For Pm5NdAu6, DFT lattice parameters and positions (PBE) gives the theoretical powder X-ray diffraction pattern in this record (Cu Kα (λ = 1.5418 Å)).
No peak broadening, texture or thermal motion is included.

Principal peaks in the range 2θ = 10–90°, most intense first:
d/Å, 2θ (°), intensity, h k l
2.625, 34.2, 100.0, 0 0 3
2.615, 34.3, 98.9, 1 2 1
2.605, 34.4, 97.9, 1 2 -2
1.516, 61.1, 37.7, 3 2 0
1.510, 61.4, 37.3, 3 2 -3
1.504, 61.7, 36.8, 0 4 3
1.864, 48.9, 18.4, 2 0 2
1.849, 49.3, 18.0, 2 0 -4
1.834, 49.7, 17.5, 0 4 0
1.162, 83.2, 16.3, 1 6 1

Crystal structure
a = 5.250 Å, b = 7.337 Å, c = 8.284 Å
α = 90.00°, β = 108.03°, γ = 90.00°
Space group P2/m (No. 10)
One atom of each set of equivalent atoms:
Pm 0.000 0.000 0.000
Pm 0.333 0.000 0.667
Pm 0.333 0.500 0.667
Nd 0.000 0.500 0.000
Au 0.169 0.249 0.335
Au 0.500 0.248 0.000

=====

For KRbFe4S6, DFT lattice parameters and positions (PBE) gives the theoretical powder X-ray diffraction pattern in this record (Cu Kα (λ = 1.5418 Å)).
No peak broadening, texture or thermal motion is included.

Principal peaks in the range 2θ = 10–90°, most intense first:
d/Å, 2θ (°), intensity, h k l
2.899, 30.8, 100.0, 1 2 2
7.011, 12.6, 81.5, 0 1 1
5.693, 15.6, 64.6, 0 0 2
3.491, 25.5, 54.0, 0 1 3
1.912, 47.6, 27.8, 2 0 4
1.685, 54.5, 23.6, 2 4 0
1.806, 50.5, 22.5, 0 3 5
1.919, 47.4, 21.4, 2 3 1
2.351, 38.3, 20.3, 2 0 2
3.506, 25.4, 19.8, 0 2 2

Crystal structure
a = 5.162 Å, b = 8.899 Å, c = 11.385 Å
α = 90.00°, β = 90.00°, γ = 90.00°
Space group Amm2 (No. 38)
One atom of each set of equivalent atoms:
K 0.000 0.000 0.000
Rb 0.500 0.000 0.355
Fe 0.250 0.143 0.677
S 0.000 0.000 0.571
S 0.000 0.226 0.284
S 0.500 0.000 0.784
S 0.500 0.220 0.075

=====

For Cr13Re2, DFT lattice parameters and positions (PBE) gives the theoretical powder X-ray diffraction pattern in this record (Cu Kα (λ = 1.5418 Å)).
No peak broadening, texture or thermal motion is included.

Principal peaks in the range 2θ = 10–90°, most intense first:
d/Å, 2θ (°), intensity, h k l
1.954, 46.5, 100.0, 4 1 1
2.000, 45.4, 65.6, 2 1 2
1.908, 47.7, 50.7, 3 3 1
2.156, 41.9, 48.2, 4 1 0
6.284, 14.1, 35.8, 1 1 0
4.105, 21.6, 34.0, 1 0 1
2.600, 34.5, 27.6, 2 2 1
2.314, 38.9, 27.1, 0 0 2
2.402, 37.4, 26.4, 3 1 1
3.975, 22.4, 25.8, 2 1 0

Crystal structure
a = 8.887 Å, b = 8.887 Å, c = 4.628 Å
α = 90.00°, β = 90.00°, γ = 90.00°
Space group P4_2/mnm (No. 136)
One atom of each set of equivalent atoms:
Cr 0.000 0.000 0.000
Cr 0.033 0.376 0.500
Cr 0.061 0.259 0.000
Cr 0.186 0.814 0.255
Re 0.105 0.105 0.500

=====

For BaAs2Ru, DFT lattice parameters and positions (PBE) gives the theoretical powder X-ray diffraction pattern in this record (Cu Kα (λ = 1.5418 Å)).
No peak broadening, texture or thermal motion is included.

Principal peaks in the range 2θ = 10–90°, most intense first:
d/Å, 2θ (°), intensity, h k l
2.593, 34.6, 100.0, 0 1 2
3.013, 29.7, 94.4, 1 0 1
1.688, 54.4, 54.5, 1 1 3
2.449, 36.7, 45.5, 1 1 1
1.724, 53.1, 35.9, 1 2 1
2.102, 43.0, 31.8, 0 2 0
1.418, 65.9, 30.0, 2 1 2
2.638, 34.0, 27.3, 1 1 0
1.694, 54.2, 16.0, 2 0 0
1.319, 71.5, 14.5, 2 2 0

Crystal structure
a = 3.387 Å, b = 4.204 Å, c = 6.588 Å
α = 90.00°, β = 90.00°, γ = 90.00°
Space group Pmmm (No. 47)
One atom of each set of equivalent atoms:
Ba 0.000 0.000 0.000
As 0.500 0.500 0.301
Ru 0.500 0.000 0.500

=====

For CdFeTeRu, DFT lattice parameters and positions (PBE) gives the theoretical powder X-ray diffraction pattern in this record (Cu Kα (λ = 1.5418 Å)).
No peak broadening, texture or thermal motion is included.

Principal peaks in the range 2θ = 10–90°, most intense first:
d/Å, 2θ (°), intensity, h k l
2.488, 36.1, 100.0, 0 1 2
2.099, 43.1, 88.2, 1 1 1
3.038, 29.4, 72.7, 1 0 0
2.052, 44.1, 66.0, 1 0 3
2.782, 32.2, 50.6, 0 0 3
1.925, 47.2, 44.8, 1 1 2
2.905, 30.8, 39.8, 0 1 1
2.070, 43.7, 29.5, 0 1 3
8.346, 10.6, 24.1, 0 0 1
1.236, 77.2, 24.1, 1 2 3

Crystal structure
a = 3.038 Å, b = 3.098 Å, c = 8.346 Å
α = 90.00°, β = 90.00°, γ = 90.00°
Space group Pmm2 (No. 25)
One atom of each set of equivalent atoms:
Cd 0.000 0.000 0.000
Fe 0.500 0.500 0.784
Te 0.000 0.500 0.364
Ru 0.000 0.000 0.629

=====

For HoTm5In2Bi, DFT lattice parameters and positions (PBE) gives the theoretical powder X-ray diffraction pattern in this record (Cu Kα (λ = 1.5418 Å)).
No peak broadening, texture or thermal motion is included.

Principal peaks in the range 2θ = 10–90°, most intense first:
d/Å, 2θ (°), intensity, h k l
2.715, 33.0, 100.0, 2 0 4
3.018, 29.6, 54.8, 2 2 0
2.961, 30.2, 31.3, 2 1 3
1.678, 54.7, 22.4, 4 2 4
1.520, 61.0, 13.7, 2 2 8
2.700, 33.2, 13.4, 3 1 0
2.335, 38.6, 12.9, 3 2 1
2.048, 44.2, 12.7, 4 1 1
1.759, 52.0, 10.4, 0 0 8
2.265, 39.8, 9.6, 2 1 5

Crystal structure
a = 8.537 Å, b = 8.537 Å, c = 14.070 Å
α = 90.00°, β = 90.00°, γ = 90.00°
Space group I4/mcm (No. 140)
One atom of each set of equivalent atoms:
Ho 0.000 0.500 0.250
Tm 0.000 0.000 0.000
Tm 0.208 0.292 0.132
In 0.111 0.389 0.500
Bi 0.000 0.000 0.250

=====

For Sm5Y2Ho6, DFT lattice parameters and positions (PBE) gives the theoretical powder X-ray diffraction pattern in this record (Cu Kα (λ = 1.5418 Å)).
No peak broadening, texture or thermal motion is included.

Principal peaks in the range 2θ = 10–90°, most intense first:
d/Å, 2θ (°), intensity, h k l
2.784, 32.1, 100.0, 2 3 1
2.827, 31.6, 69.0, 1 7 0
2.889, 31.0, 61.1, 4 1 0
2.842, 31.5, 48.7, 1 4 1
2.619, 34.2, 39.8, 2 4 1
2.457, 36.6, 31.1, 3 3 1
1.512, 61.3, 25.9, 1 7 2
1.790, 51.0, 24.3, 0 0 2
2.560, 35.1, 23.9, 3 6 0
3.054, 29.2, 22.0, 2 0 1

Crystal structure
a = 11.672 Å, b = 20.398 Å, c = 3.580 Å
α = 90.00°, β = 90.00°, γ = 90.00°
Space group Pbam (No. 55)
One atom of each set of equivalent atoms:
Sm 0.000 0.000 0.000
Sm 0.089 0.274 0.000
Sm 0.200 0.550 0.000
Y 0.169 0.711 0.500
Ho 0.059 0.419 0.500
Ho 0.080 0.132 0.500
Ho 0.175 0.865 0.000

=====

For Tb5Er6Mg2, DFT lattice parameters and positions (PBE) gives the theoretical powder X-ray diffraction pattern in this record (Cu Kα (λ = 1.5418 Å)).
No peak broadening, texture or thermal motion is included.

Principal peaks in the range 2θ = 10–90°, most intense first:
d/Å, 2θ (°), intensity, h k l
2.714, 33.0, 100.0, 3 5 0
3.114, 28.7, 60.9, 3 3 0
2.786, 32.1, 56.1, 0 8 0
2.983, 30.0, 52.2, 0 4 1
2.446, 36.7, 27.9, 3 1 1
3.200, 27.9, 27.1, 1 2 1
2.438, 36.9, 27.1, 2 5 1
1.745, 52.4, 23.7, 3 9 1
2.581, 34.8, 23.2, 2 4 1
2.557, 35.1, 19.5, 4 1 0

Crystal structure
a = 10.288 Å, b = 22.287 Å, c = 3.532 Å
α = 90.00°, β = 90.00°, γ = 90.00°
Space group Pbam (No. 55)
One atom of each set of equivalent atoms:
Tb 0.000 0.000 0.000
Tb 0.078 0.252 0.000
Tb 0.166 0.506 0.000
Er 0.021 0.387 0.500
Er 0.143 0.118 0.500
Er 0.168 0.866 0.000
Mg 0.172 0.739 0.500

=====

For ThCoGe3, DFT lattice parameters and positions (PBE) gives the theoretical powder X-ray diffraction pattern in this record (Cu Kα (λ = 1.5418 Å)).
No peak broadening, texture or thermal motion is included.

Principal peaks in the range 2θ = 10–90°, most intense first:
d/Å, 2θ (°), intensity, h k l
2.415, 37.2, 100.0, 2 1 1
2.488, 36.1, 87.6, 0 2 1
1.943, 46.8, 47.4, 2 1 2
2.834, 31.6, 44.9, 0 0 2
2.522, 35.6, 38.1, 1 2 0
4.149, 21.4, 37.3, 1 0 1
2.669, 33.6, 33.2, 2 1 0
3.321, 26.8, 25.9, 1 1 1
2.331, 38.6, 25.8, 1 1 2
1.522, 60.9, 22.7, 4 0 0

Crystal structure
a = 6.092 Å, b = 5.539 Å, c = 5.667 Å
α = 90.00°, β = 90.00°, γ = 90.00°
Space group Pmn2_1 (No. 31)
One atom of each set of equivalent atoms:
Th 0.000 0.136 0.000
Co 0.000 0.607 0.244
Ge 0.000 0.901 0.531
Ge 0.233 0.340 0.455

=====

For InNi9Sn2, DFT lattice parameters and positions (PBE) gives the theoretical powder X-ray diffraction pattern in this record (Cu Kα (λ = 1.5418 Å)).
No peak broadening, texture or thermal motion is included.

Principal peaks in the range 2θ = 10–90°, most intense first:
d/Å, 2θ (°), intensity, h k l
2.157, 41.9, 100.0, 1 1 3
1.868, 48.8, 47.6, 2 0 0
1.126, 86.4, 34.9, 3 1 3
1.321, 71.4, 28.9, 2 2 0
3.736, 23.8, 9.5, 1 0 0
2.641, 33.9, 8.1, 1 1 0
1.671, 55.0, 4.6, 2 1 0
1.525, 60.7, 3.5, 2 1 3
1.245, 76.5, 2.5, 0 0 9
1.181, 81.5, 1.8, 1 0 9

Crystal structure
a = 3.736 Å, b = 3.736 Å, c = 11.203 Å
α = 90.00°, β = 90.00°, γ = 90.00°
Space group P4/mmm (No. 123)
One atom of each set of equivalent atoms:
In 0.000 0.000 0.000
Ni 0.000 0.500 0.168
Ni 0.000 0.500 0.500
Ni 0.500 0.500 0.000
Ni 0.500 0.500 0.335
Sn 0.000 0.000 0.333

=====

For CeZnGa3, DFT lattice parameters and positions (PBE) gives the theoretical powder X-ray diffraction pattern in this record (Cu Kα (λ = 1.5418 Å)).
No peak broadening, texture or thermal motion is included.

Principal peaks in the range 2θ = 10–90°, most intense first:
d/Å, 2θ (°), intensity, h k l
2.629, 34.1, 100.0, 1 1 2
2.737, 32.7, 60.6, 1 0 3
2.135, 42.3, 55.6, 2 0 0
1.913, 47.5, 31.0, 1 0 5
1.683, 54.5, 28.0, 2 1 3
1.425, 65.5, 23.2, 2 1 5
1.309, 72.1, 21.5, 3 1 2
1.510, 61.4, 17.9, 2 2 0
3.019, 29.6, 15.8, 1 1 0
1.133, 85.7, 12.7, 2 0 8

Crystal structure
a = 4.270 Å, b = 4.270 Å, c = 10.698 Å
α = 90.00°, β = 90.00°, γ = 90.00°
Space group I-4m2 (No. 119)
One atom of each set of equivalent atoms:
Ce 0.000 0.000 0.000
Zn 0.000 0.500 0.750
Ga 0.000 0.000 0.385
Ga 0.000 0.500 0.250

=====

For TbMgPtO4, DFT lattice parameters and positions (PBE) gives the theoretical powder X-ray diffraction pattern in this record (Cu Kα (λ = 1.5418 Å)).
No peak broadening, texture or thermal motion is included.

Principal peaks in the range 2θ = 10–90°, most intense first:
d/Å, 2θ (°), intensity, h k l
5.361, 16.5, 100.0, 0 1 1
5.192, 17.1, 61.1, 1 0 1
2.299, 39.2, 56.7, 2 2 0
2.680, 33.4, 50.0, 0 2 2
2.732, 32.8, 47.9, 2 1 1
1.610, 57.2, 45.0, 2 2 4
2.596, 34.5, 43.6, 2 0 2
2.805, 31.9, 39.0, 1 2 1
2.741, 32.7, 34.5, 0 1 3
2.255, 40.0, 26.4, 0 0 4

Crystal structure
a = 6.350 Å, b = 6.665 Å, c = 9.019 Å
α = 90.00°, β = 90.00°, γ = 90.00°
Space group Imma (No. 74)
One atom of each set of equivalent atoms:
Tb 0.000 0.000 0.000
Mg 0.000 0.250 0.369
Pt 0.250 0.250 0.750
O 0.000 0.043 0.741
O 0.234 0.250 0.027